The following is a computed PXRD pattern of AcAs6. It was derived from the PBE geometry in Alexandria, using Cu Kα.

Most intense lines, 2θ from 10° to 80°, sorted by position:
h k l	d_spacing	2θ (°)	I (rel.)
2 0 0	3.673	24.23	42
2 1 1	2.999	29.79	100
3 2 1	1.963	46.25	60
4 0 0	1.836	49.65	20
4 2 0	1.642	55.99	17
3 3 2	1.566	58.98	15
5 2 1	1.341	70.18	18
4 4 0	1.298	72.84	13

Atomic structure:
```
data_AcAs6
_chemical_formula_sum 'Ac2 As12'
_cell_length_a 7.3452
_cell_length_b 7.3452
_cell_length_c 7.3452
_cell_angle_alpha 90.00
_cell_angle_beta 90.00
_cell_angle_gamma 90.00
_space_group_name_H-M_alt 'I m -3 m'
_space_group_IT_number 229
_space_group_name_Hall '-I 4 2 3'
loop_
_atom_site_label
_atom_site_fract_x
_atom_site_fract_y
_atom_site_fract_z
Ac1 0.0000 0.0000 0.0000
As1 0.0000 0.2500 0.5000
```

The following is a computed PXRD pattern of Ho10Er4Zr. It was derived from the PBE geometry in Alexandria, using Cu Kα.

Most intense lines, 2θ from 10° to 80°, sorted by position:
h k l	d_spacing	2θ (°)	I (rel.)
3 1 0	3.508	25.39	30
2 0 2	3.155	28.29	66
3 2 1	2.856	31.32	38
4 0 0	2.774	32.28	100
2 2 2	2.742	32.66	96
3 1 2	2.589	34.65	36
3 3 2	2.161	41.81	46
7 3 2	1.362	68.96	30

Atomic structure:
```
data_Ho10Er4Zr
_chemical_formula_sum 'Ho20 Er8 Zr2'
_cell_length_a 11.0943
_cell_length_b 11.0943
_cell_length_c 7.6705
_cell_angle_alpha 90.00
_cell_angle_beta 90.00
_cell_angle_gamma 90.00
_space_group_name_H-M_alt 'I 4/m m m'
_space_group_IT_number 139
_space_group_name_Hall '-I 4 2'
loop_
_atom_site_label
_atom_site_fract_x
_atom_site_fract_y
_atom_site_fract_z
Ho1 0.0000 0.2081 0.2121
Ho2 0.0000 0.5000 0.2500
Er1 0.2288 0.2288 0.5000
Zr1 0.0000 0.0000 0.5000
```

The following is a computed PXRD pattern of HoNi12B6. It was derived from the PBE geometry in Alexandria, using Cu Kα.

Most intense lines, 2θ from 10° to 80°, sorted by position:
h k l	d_spacing	2θ (°)	I (rel.)
2 2 1	2.822	31.71	60
2 2 2	2.577	34.81	46
3 1 3	2.282	39.49	69
4 0 2	2.191	41.20	74
1 3 2	2.180	41.41	100
1 1 5	2.053	44.11	42
3 1 4	1.999	45.37	32
5 3 0	1.508	61.49	28

Atomic structure:
```
data_HoNi12B6
_chemical_formula_sum 'Ho4 Ni48 B24'
_cell_length_a 9.5597
_cell_length_b 7.3604
_cell_length_c 10.9661
_cell_angle_alpha 90.00
_cell_angle_beta 90.00
_cell_angle_gamma 90.00
_space_group_name_H-M_alt 'C m c 21'
_space_group_IT_number 36
_space_group_name_Hall 'C 2c -2'
loop_
_atom_site_label
_atom_site_fract_x
_atom_site_fract_y
_atom_site_fract_z
Ho1 0.0000 0.1666 0.0000
Ni1 0.0000 0.2158 0.3963
Ni2 0.0000 0.4338 0.5768
Ni3 0.1305 0.3255 0.7623
Ni4 0.1313 0.0133 0.2403
Ni5 0.1308 0.3427 0.2190
Ni6 0.1829 0.1854 0.5584
Ni7 0.1939 0.4639 0.4277
B1 0.0000 0.1638 0.6562
B2 0.0000 0.4865 0.3407
B3 0.2066 0.1942 0.3730
B4 0.2157 0.4566 0.6109
```

The following is a computed PXRD pattern of LiCrPd4. It was derived from the PBE geometry in Alexandria, using Cu Kα.

Most intense lines, 2θ from 10° to 80°, sorted by position:
h k l	d_spacing	2θ (°)	I (rel.)
1 1 0	3.773	23.58	29
2 0 0	3.664	24.29	17
0 0 2	2.244	40.19	57
0 2 0	2.201	41.01	100
3 1 0	2.136	42.32	65
0 2 2	1.571	58.78	21
3 3 -2	1.271	74.71	14
3 3 0	1.258	75.62	11

Atomic structure:
```
data_LiCrPd4
_chemical_formula_sum 'Li2 Cr2 Pd8'
_cell_length_a 8.9933
_cell_length_b 4.4005
_cell_length_c 5.5058
_cell_angle_alpha 90.00
_cell_angle_beta 125.42
_cell_angle_gamma 90.00
_space_group_name_H-M_alt 'C 1 2/m 1'
_space_group_IT_number 12
_space_group_name_Hall '-C 2y'
loop_
_atom_site_label
_atom_site_fract_x
_atom_site_fract_y
_atom_site_fract_z
Li1 0.0000 0.0000 0.0000
Cr1 0.0000 0.0000 0.5000
Pd1 0.1685 0.5000 0.0304
Pd2 0.1698 0.5000 0.5318
```

The following is a computed PXRD pattern of LiCe2Zn3. It was derived from the PBE geometry in Alexandria, using Cu Kα.

Most intense lines, 2θ from 10° to 80°, sorted by position:
h k l	d_spacing	2θ (°)	I (rel.)
1 0 1	4.592	19.33	53
1 1 0	2.837	31.53	40
1 0 4	2.695	33.25	86
0 2 1	2.414	37.26	100
1 1 3	2.368	38.01	56
2 0 2	2.296	39.24	33
0 1 5	2.283	39.47	52
2 1 4	1.609	57.25	36

Atomic structure:
```
data_LiCe2Zn3
_chemical_formula_sum 'Li3 Ce6 Zn9'
_cell_length_a 5.6741
_cell_length_b 5.6741
_cell_length_c 12.8910
_cell_angle_alpha 90.00
_cell_angle_beta 90.00
_cell_angle_gamma 120.00
_space_group_name_H-M_alt 'R -3 m'
_space_group_IT_number 166
_space_group_name_Hall '-R 3 2"'
loop_
_atom_site_label
_atom_site_fract_x
_atom_site_fract_y
_atom_site_fract_z
Li1 0.0000 0.0000 0.0000
Ce1 0.0000 0.0000 0.3862
Zn1 0.0000 0.5000 0.5000
```

The following is a computed PXRD pattern of Na3Pa3MnN8. It was derived from the PBE geometry in Alexandria, using Cu Kα.

Most intense lines, 2θ from 10° to 80°, sorted by position:
h k l	d_spacing	2θ (°)	I (rel.)
0 0 1	5.710	15.52	100
4 0 -1	2.901	30.82	48
0 0 2	2.855	31.33	20
2 2 0	2.784	32.16	51
4 0 0	2.426	37.06	57
2 2 1	2.233	40.40	20
0 4 0	1.699	53.95	19
0 4 1	1.629	56.50	21

Atomic structure:
```
data_Na3Pa3MnN8
_chemical_formula_sum 'Na6 Pa6 Mn2 N16'
_cell_length_a 11.7814
_cell_length_b 6.7933
_cell_length_c 6.9270
_cell_angle_alpha 90.00
_cell_angle_beta 124.48
_cell_angle_gamma 90.00
_space_group_name_H-M_alt 'C 1 2/m 1'
_space_group_IT_number 12
_space_group_name_Hall '-C 2y'
loop_
_atom_site_label
_atom_site_fract_x
_atom_site_fract_y
_atom_site_fract_z
Na1 0.0000 0.0000 0.0000
Na2 0.2500 0.2500 0.0000
Pa1 0.0000 0.5000 0.5000
Pa2 0.2500 0.2500 0.5000
Mn1 0.0000 0.0000 0.5000
N1 0.0182 0.2317 0.3240
N2 0.2130 0.0000 0.6758
N3 0.2327 0.5000 0.6975
```

The following is a computed PXRD pattern of Ag2AsBr. It was derived from the PBE geometry in Alexandria, using Cu Kα.

Most intense lines, 2θ from 10° to 80°, sorted by position:
h k l	d_spacing	2θ (°)	I (rel.)
0 0 1	7.314	12.10	66
1 0 2	2.548	35.22	100
1 1 0	2.512	35.75	82
1 1 1	2.376	37.87	17
1 0 3	2.010	45.10	50
2 0 0	1.776	51.45	28
2 1 2	1.457	63.89	33
2 1 3	1.331	70.79	25

Atomic structure:
```
data_Ag2AsBr
_chemical_formula_sum 'Ag2 As1 Br1'
_cell_length_a 3.5523
_cell_length_b 3.5523
_cell_length_c 7.3145
_cell_angle_alpha 90.00
_cell_angle_beta 90.00
_cell_angle_gamma 90.00
_space_group_name_H-M_alt 'P 4 m m'
_space_group_IT_number 99
_space_group_name_Hall 'P 4 -2'
loop_
_atom_site_label
_atom_site_fract_x
_atom_site_fract_y
_atom_site_fract_z
Ag1 0.0000 0.0000 0.0000
Ag2 0.5000 0.5000 0.2265
As1 0.0000 0.0000 0.3706
Br1 0.5000 0.5000 0.7943
```

The following is a computed PXRD pattern of CsSnAsRh. It was derived from the PBE geometry in Alexandria, using Cu Kα.

Most intense lines, 2θ from 10° to 80°, sorted by position:
h k l	d_spacing	2θ (°)	I (rel.)
0 0 2	7.087	12.49	39
0 0 4	3.543	25.13	43
1 0 3	3.127	28.54	58
1 1 2	2.724	32.88	100
2 0 0	2.086	43.37	41
1 1 6	1.844	49.42	55
2 0 4	1.798	50.78	25
2 1 3	1.736	52.74	20

Atomic structure:
```
data_CsSnAsRh
_chemical_formula_sum 'Cs2 Sn2 As2 Rh2'
_cell_length_a 4.1725
_cell_length_b 4.1725
_cell_length_c 14.1735
_cell_angle_alpha 90.00
_cell_angle_beta 90.00
_cell_angle_gamma 90.00
_space_group_name_H-M_alt 'P 4/n m m'
_space_group_IT_number 129
loop_
_space_group_symop_operation_xyz
'x,y,z'
'-x,-y,-z'
'-y+1/2,x,z'
'y+1/2,-x,-z'
'-x+1/2,-y+1/2,z'
'x+1/2,y+1/2,-z'
'y,-x+1/2,z'
'-y,x+1/2,-z'
'x+1/2,-y,-z'
'-x+1/2,y,z'
'-y,-x,-z'
'y,x,z'
'-x,y+1/2,-z'
'x,-y+1/2,z'
'y+1/2,x+1/2,-z'
'-y+1/2,-x+1/2,z'
loop_
_atom_site_label
_atom_site_fract_x
_atom_site_fract_y
_atom_site_fract_z
Cs1 0.2500 0.2500 0.2481
Sn1 0.2500 0.7500 0.5000
As1 0.2500 0.2500 0.9071
Rh1 0.2500 0.7500 0.0000
```

Repeat the second record exactly.
The following is a computed PXRD pattern of Ho10Er4Zr. It was derived from the PBE geometry in Alexandria, using Cu Kα.

Most intense lines, 2θ from 10° to 80°, sorted by position:
h k l	d_spacing	2θ (°)	I (rel.)
3 1 0	3.508	25.39	30
2 0 2	3.155	28.29	66
3 2 1	2.856	31.32	38
4 0 0	2.774	32.28	100
2 2 2	2.742	32.66	96
3 1 2	2.589	34.65	36
3 3 2	2.161	41.81	46
7 3 2	1.362	68.96	30

Atomic structure:
```
data_Ho10Er4Zr
_chemical_formula_sum 'Ho20 Er8 Zr2'
_cell_length_a 11.0943
_cell_length_b 11.0943
_cell_length_c 7.6705
_cell_angle_alpha 90.00
_cell_angle_beta 90.00
_cell_angle_gamma 90.00
_space_group_name_H-M_alt 'I 4/m m m'
_space_group_IT_number 139
_space_group_name_Hall '-I 4 2'
loop_
_atom_site_label
_atom_site_fract_x
_atom_site_fract_y
_atom_site_fract_z
Ho1 0.0000 0.2081 0.2121
Ho2 0.0000 0.5000 0.2500
Er1 0.2288 0.2288 0.5000
Zr1 0.0000 0.0000 0.5000
```

> What is the formula in the second record?

Ho10Er4Zr